For PrNd2Si2Ge2Pd4, a crystal structure in OQMD, relaxed with PBE gives the simulated X-ray powder pattern in this record (CuKα).

```
PrNd2Si2Ge2Pd4
1.0
-2.078 2.170 12.451
2.078 -2.170 12.451
2.078 2.170 -12.451
Pr Nd Si Ge Pd
1 2 2 2 4
direct
0.000 0.000 0.000
0.351 0.851 0.500
0.649 0.149 0.500
0.198 0.698 0.500
0.802 0.302 0.500
0.450 0.450 0.000
0.550 0.550 0.000
0.101 0.601 0.500
0.249 0.249 0.000
0.751 0.751 0.000
0.899 0.399 0.500
```

Largest 6 diffraction maxima, by angle, 5 to 70 degrees two-theta:
| Position (°2θ) | I/Imax |
| --- | --- |
| 33.13 | 100 |
| 38.59 | 16 |
| 41.62 | 18 |
| 43.55 | 17 |
| 45.17 | 11 |
| 61.81 | 12 |